# K4MgCu3F12
Theoretical XRD peak list, copper Kα. Input: a crystal structure in the Materials Project, relaxed with PBE.

Largest 6 diffraction maxima, sorted by position, 2θ = 10–90°:
2θ (°)  intensity
21.80  27
31.02  100
44.45  68
55.19  36
64.67  37
73.45  15

Crystal structure
Cell lengths 7.061, 7.061, 7.061 Å; angles 109.47, 109.47, 109.47 degrees
Atoms (fractional coordinates):
K 0.000 0.000 0.500
K 0.000 0.500 0.000
K 0.500 0.000 0.000
K 0.500 0.500 0.500
Mg 0.000 0.000 0.000
Cu 0.000 0.500 0.500
Cu 0.500 0.000 0.500
Cu 0.500 0.500 0.000
F 0.000 0.249 0.249
F 0.000 0.751 0.751
F 0.249 0.000 0.249
F 0.249 0.249 0.000
F 0.250 0.500 0.750
F 0.250 0.750 0.500
F 0.500 0.250 0.750
F 0.500 0.750 0.250
F 0.750 0.250 0.500
F 0.750 0.500 0.250
F 0.751 0.000 0.751
F 0.751 0.751 0.000



# K4MgCu3F12
Theoretical XRD peak list, copper Kα. Input: a crystal structure in the Materials Project, relaxed with PBE.

Largest 6 diffraction maxima, sorted by position, 2θ = 10–90°:
2θ (°)  intensity
30.52  100
30.66  99
31.39  91
42.61  71
44.79  62
45.19  60

Crystal structure
Cell lengths 5.864, 5.864, 8.026 Å; angles 90.00, 90.00, 92.72 degrees
Atoms (fractional coordinates):
K 0.000 0.500 0.248
K 0.000 0.500 0.752
K 0.500 0.000 0.248
K 0.500 0.000 0.752
Mg 0.000 0.000 0.000
Cu 0.000 0.000 0.500
Cu 0.500 0.500 0.000
Cu 0.500 0.500 0.500
F 0.000 0.000 0.255
F 0.000 0.000 0.745
F 0.231 0.769 0.000
F 0.241 0.241 0.500
F 0.255 0.255 0.000
F 0.271 0.729 0.500
F 0.500 0.500 0.246
F 0.500 0.500 0.754
F 0.729 0.271 0.500
F 0.745 0.745 0.000
F 0.759 0.759 0.500
F 0.769 0.231 0.000



# K4MgCu3F12
Theoretical XRD peak list, copper Kα. Input: a crystal structure in the Materials Project, relaxed with PBE.

Largest 6 diffraction maxima, sorted by position, 2θ = 10–90°:
2θ (°)  intensity
30.99  100
31.15  49
44.16  35
44.52  34
44.75  33
64.51  18

Crystal structure
Cell lengths 9.093, 9.093, 4.102 Å; angles 90.00, 90.00, 127.09 degrees
Atoms (fractional coordinates):
K 0.122 0.374 0.000
K 0.374 0.122 0.000
K 0.626 0.878 0.000
K 0.878 0.626 0.000
Mg 0.500 0.500 0.500
Cu 0.000 0.000 0.500
Cu 0.251 0.749 0.500
Cu 0.749 0.251 0.500
F 0.000 0.000 0.000
F 0.000 0.500 0.500
F 0.128 0.872 0.500
F 0.250 0.250 0.500
F 0.251 0.749 0.000
F 0.377 0.623 0.500
F 0.500 0.000 0.500
F 0.500 0.500 0.000
F 0.623 0.377 0.500
F 0.749 0.251 0.000
F 0.750 0.750 0.500
F 0.872 0.128 0.500



# KCu3P3O8F6
Theoretical XRD peak list, copper Kα. Input: a crystal structure in the Materials Project, relaxed with PBE.

Largest 6 diffraction maxima, sorted by position, 2θ = 10–90°:
2θ (°)  intensity
12.54  55
18.34  40
25.36  100
26.66  57
26.88  74
28.49  41

Crystal structure
Cell lengths 10.364, 10.364, 7.917 Å; angles 101.96, 101.96, 43.11 degrees
Atoms (fractional coordinates):
K 0.158 0.842 0.750
K 0.842 0.158 0.250
Cu 0.000 0.500 0.000
Cu 0.305 0.370 0.689
Cu 0.370 0.305 0.189
Cu 0.500 0.000 0.500
Cu 0.630 0.695 0.811
Cu 0.695 0.630 0.311
P 0.001 0.347 0.590
P 0.347 0.001 0.090
P 0.376 0.624 0.250
P 0.624 0.376 0.750
P 0.653 0.999 0.910
P 0.999 0.653 0.410
O 0.099 0.515 0.250
O 0.130 0.606 0.572
O 0.176 0.296 0.566
O 0.296 0.176 0.066
O 0.394 0.870 0.928
O 0.416 0.465 0.295
O 0.465 0.416 0.795
O 0.485 0.901 0.250
O 0.515 0.099 0.750
O 0.535 0.584 0.205
O 0.584 0.535 0.705
O 0.606 0.130 0.072
O 0.704 0.824 0.934
O 0.824 0.704 0.434
O 0.870 0.394 0.428
O 0.901 0.485 0.750
F 0.081 0.152 0.632
F 0.152 0.081 0.132
F 0.171 0.488 0.928
F 0.209 0.736 0.102
F 0.264 0.791 0.398
F 0.488 0.171 0.428
F 0.512 0.829 0.572
F 0.736 0.209 0.602
F 0.791 0.264 0.898
F 0.829 0.512 0.072
F 0.848 0.919 0.868
F 0.919 0.848 0.368



# K2ZnCu3P3O12F
Theoretical XRD peak list, copper Kα. Input: a crystal structure in the Materials Project, relaxed with PBE.

Largest 6 diffraction maxima, sorted by position, 2θ = 10–90°:
2θ (°)  intensity
11.00  65
16.39  64
29.38  43
30.37  50
30.94  100
36.12  63

Crystal structure
Cell lengths 4.973, 14.605, 8.046 Å; angles 90.00, 90.73, 90.00 degrees
Atoms (fractional coordinates):
K 0.000 0.000 0.000
K 0.000 0.500 0.000
K 0.048 0.250 0.362
K 0.952 0.750 0.638
Zn 0.473 0.750 0.954
Zn 0.527 0.250 0.046
Cu 0.000 0.000 0.500
Cu 0.000 0.500 0.500
Cu 0.433 0.636 0.356
Cu 0.433 0.864 0.356
Cu 0.567 0.136 0.644
Cu 0.567 0.364 0.644
P 0.019 0.250 0.823
P 0.498 0.567 0.704
P 0.498 0.933 0.704
P 0.502 0.067 0.296
P 0.502 0.433 0.296
P 0.981 0.750 0.177
O 0.069 0.662 0.272
O 0.069 0.838 0.272
O 0.088 0.750 0.997
O 0.194 0.577 0.659
O 0.194 0.923 0.659
O 0.332 0.079 0.460
O 0.332 0.421 0.460
O 0.334 0.250 0.830
O 0.418 0.140 0.169
O 0.418 0.360 0.169
O 0.441 0.528 0.218
O 0.441 0.972 0.218
O 0.559 0.028 0.782
O 0.559 0.472 0.782
O 0.582 0.640 0.831
O 0.582 0.860 0.831
O 0.666 0.750 0.170
O 0.668 0.579 0.540
O 0.668 0.921 0.540
O 0.806 0.077 0.341
O 0.806 0.423 0.341
O 0.912 0.250 0.003
O 0.931 0.162 0.728
O 0.931 0.338 0.728
F 0.445 0.750 0.488
F 0.555 0.250 0.512



# K2Zr2CuO6F12
Theoretical XRD peak list, copper Kα. Input: a crystal structure in the Materials Project, relaxed with PBE.

Largest 6 diffraction maxima, sorted by position, 2θ = 10–90°:
2θ (°)  intensity
13.70  42
15.89  61
18.71  56
20.94  100
25.08  59
25.96  56

Crystal structure
Cell lengths 7.193, 9.485, 12.293 Å; angles 90.00, 116.04, 90.00 degrees
Atoms (fractional coordinates):
K 0.082 0.188 0.081
K 0.082 0.312 0.581
K 0.918 0.688 0.419
K 0.918 0.812 0.919
Zr 0.303 0.012 0.836
Zr 0.303 0.488 0.336
Zr 0.697 0.512 0.664
Zr 0.697 0.988 0.164
Cu 0.500 0.000 0.500
Cu 0.500 0.500 0.000
O 0.264 0.103 0.453
O 0.264 0.397 0.953
O 0.417 0.656 0.094
O 0.417 0.844 0.594
O 0.467 0.627 0.881
O 0.467 0.873 0.381
O 0.533 0.127 0.619
O 0.533 0.373 0.119
O 0.583 0.156 0.406
O 0.583 0.344 0.906
O 0.736 0.603 0.047
O 0.736 0.897 0.547
F 0.096 0.057 0.901
F 0.096 0.443 0.401
F 0.121 0.047 0.659
F 0.121 0.453 0.159
F 0.174 0.680 0.295
F 0.174 0.820 0.795
F 0.311 0.242 0.805
F 0.311 0.258 0.305
F 0.451 0.026 0.203
F 0.451 0.474 0.703
F 0.465 0.621 0.500
F 0.465 0.879 0.000
F 0.535 0.121 0.000
F 0.535 0.379 0.500
F 0.549 0.526 0.297
F 0.549 0.974 0.797
F 0.689 0.742 0.695
F 0.689 0.758 0.195
F 0.826 0.180 0.205
F 0.826 0.320 0.705
F 0.879 0.547 0.841
F 0.879 0.953 0.341
F 0.904 0.557 0.599
F 0.904 0.943 0.099



# K2ScCuF6
Theoretical XRD peak list, copper Kα. Input: a crystal structure in the Materials Project, relaxed with PBE.

Largest 6 diffraction maxima, sorted by position, 2θ = 10–90°:
2θ (°)  intensity
20.76  26
29.53  100
42.25  69
52.38  36
61.28  38
84.78  17

Crystal structure
Cell lengths 6.051, 6.051, 6.051 Å; angles 60.00, 60.00, 60.00 degrees
Atoms (fractional coordinates):
K 0.250 0.250 0.250
K 0.750 0.750 0.750
Sc 0.000 0.000 0.000
Cu 0.500 0.500 0.500
F 0.238 0.238 0.762
F 0.238 0.762 0.238
F 0.238 0.762 0.762
F 0.762 0.238 0.238
F 0.762 0.238 0.762
F 0.762 0.762 0.238



# K2TlCuF6
Theoretical XRD peak list, copper Kα. Input: a crystal structure in the Materials Project, relaxed with PBE.

Largest 6 diffraction maxima, sorted by position, 2θ = 10–90°:
2θ (°)  intensity
17.56  30
20.30  62
28.86  100
41.27  41
46.41  29
51.14  40

Crystal structure
Cell lengths 6.187, 6.187, 6.187 Å; angles 60.00, 60.00, 60.00 degrees
Atoms (fractional coordinates):
K 0.250 0.250 0.250
K 0.750 0.750 0.750
Tl 0.000 0.000 0.000
Cu 0.500 0.500 0.500
F 0.265 0.265 0.735
F 0.265 0.735 0.265
F 0.265 0.735 0.735
F 0.735 0.265 0.265
F 0.735 0.265 0.735
F 0.735 0.735 0.265



# K2YCuF6
Theoretical XRD peak list, copper Kα. Input: a crystal structure in the Materials Project, relaxed with PBE.

Largest 6 diffraction maxima, sorted by position, 2θ = 10–90°:
2θ (°)  intensity
20.07  41
28.53  100
40.79  57
50.53  39
59.06  33
81.39  18

Crystal structure
Cell lengths 6.257, 6.257, 6.257 Å; angles 60.00, 60.00, 60.00 degrees
Atoms (fractional coordinates):
K 0.250 0.250 0.250
K 0.750 0.750 0.750
Y 0.000 0.000 0.000
Cu 0.500 0.500 0.500
F 0.246 0.246 0.754
F 0.246 0.754 0.246
F 0.246 0.754 0.754
F 0.754 0.246 0.246
F 0.754 0.246 0.754
F 0.754 0.754 0.246



Repeat the eighth record exactly.
# K2TlCuF6
Theoretical XRD peak list, copper Kα. Input: a crystal structure in the Materials Project, relaxed with PBE.

Largest 6 diffraction maxima, sorted by position, 2θ = 10–90°:
2θ (°)  intensity
17.56  30
20.30  62
28.86  100
41.27  41
46.41  29
51.14  40

Crystal structure
Cell lengths 6.187, 6.187, 6.187 Å; angles 60.00, 60.00, 60.00 degrees
Atoms (fractional coordinates):
K 0.250 0.250 0.250
K 0.750 0.750 0.750
Tl 0.000 0.000 0.000
Cu 0.500 0.500 0.500
F 0.265 0.265 0.735
F 0.265 0.735 0.265
F 0.265 0.735 0.735
F 0.735 0.265 0.265
F 0.735 0.265 0.735
F 0.735 0.735 0.265



Repeat the first record exactly.
# K4MgCu3F12
Theoretical XRD peak list, copper Kα. Input: a crystal structure in the Materials Project, relaxed with PBE.

Largest 6 diffraction maxima, sorted by position, 2θ = 10–90°:
2θ (°)  intensity
21.80  27
31.02  100
44.45  68
55.19  36
64.67  37
73.45  15

Crystal structure
Cell lengths 7.061, 7.061, 7.061 Å; angles 109.47, 109.47, 109.47 degrees
Atoms (fractional coordinates):
K 0.000 0.000 0.500
K 0.000 0.500 0.000
K 0.500 0.000 0.000
K 0.500 0.500 0.500
Mg 0.000 0.000 0.000
Cu 0.000 0.500 0.500
Cu 0.500 0.000 0.500
Cu 0.500 0.500 0.000
F 0.000 0.249 0.249
F 0.000 0.751 0.751
F 0.249 0.000 0.249
F 0.249 0.249 0.000
F 0.250 0.500 0.750
F 0.250 0.750 0.500
F 0.500 0.250 0.750
F 0.500 0.750 0.250
F 0.750 0.250 0.500
F 0.750 0.500 0.250
F 0.751 0.000 0.751
F 0.751 0.751 0.000